Calculated powder X-ray diffraction pattern
Compound: Pr6Si4S17
Radiation: Cu Ka
Structure: a cell relaxed with PBE

Structural model:
abc: 9.0057 10.0438 14.3383
angles: 81.99 86.97 89.37
Space group P-1 (No. 2)
Symmetry-distinct sites (fractional):
Pr  0.0193  0.2684  0.4599
Pr  0.0836  0.5805  0.1654
Pr  0.1064  0.8852  0.8166
Pr  0.3310  0.9120  0.3422
Pr  0.3704  0.5663  0.6754
Pr  0.4480  0.2388  0.0010
Si  0.2306  0.9377  0.0988
Si  0.2498  0.0001  0.5840
Si  0.2509  0.5601  0.9227
Si  0.2742  0.5585  0.3945
S  0.0086  0.8721  0.1142
S  0.0148  0.9929  0.6229
S  0.0407  0.6479  0.9519
S  0.0686  0.6436  0.7221
S  0.1064  0.7015  0.3454
S  0.1844  0.4808  0.5328
S  0.2471  0.1138  0.1672
S  0.2581  0.3853  0.8508
S  0.2969  0.8077  0.5409
S  0.2998  0.4112  0.3031
S  0.3079  0.1338  0.4613
S  0.3216  0.9814  0.9565
S  0.3410  0.5013  0.0568
S  0.3556  0.0302  0.7070
S  0.3669  0.7820  0.1668
S  0.3834  0.7130  0.8388
S  0.4827  0.6540  0.3965

Peak list (6 most intense, 2θ from 5° to 70°, by intensity)
d (Å)	2θ/deg	I (rel.)	(hkl)
4.051	21.94	100	1 -2 1
4.366	20.34	73	0 2 2
4.276	20.77	72	1 0 3
2.714	33.00	55	0 2 -4
2.583	34.73	54	3 1 -2
2.407	37.36	52	-1 4 1